Entry 1:
The following is a theoretical powder diffractogram of CePuSbRh. It was derived from DFT lattice parameters and positions (GGA-PBE), using Cu Kα (weighted mean of Kα1 and Kα2).
Peak positions follow from Bragg's law for the DFT cell and can differ from measured ones.

The 10 most intense peaks (2θ from 15° to 90°), in order of falling intensity:
2.887 Å, 31.0°, I = 100; 2.623 Å, 34.2°, I = 96; 2.117 Å, 42.7°, I = 70; 2.308 Å, 39.0°, I = 56; 2.287 Å, 39.4°, I = 37; 2.718 Å, 33.0°, I = 33; 1.670 Å, 55.0°, I = 31; 2.753 Å, 32.5°, I = 26; 1.554 Å, 59.5°, I = 26; 1.497 Å, 62.0°, I = 23

Atomic structure:
```
data_CePuSbRh
_space_group_name_H-M_alt 'P 1'
_space_group_IT_number 1
_cell_length_a 4.234
_cell_length_b 4.234
_cell_length_c 10.872
_cell_angle_alpha 90.00
_cell_angle_beta 90.00
_cell_angle_gamma 90.00
loop_
_space_group_symop_operation_xyz
'x,y,z'
loop_
_atom_site_label
_atom_site_type_symbol
_atom_site_fract_x
_atom_site_fract_y
_atom_site_fract_z
_atom_site_occupancy
Ce1 Ce 0.250 0.250 0.234 1
Ce2 Ce 0.750 0.750 0.766 1
Pu1 Pu 0.250 0.750 0.500 1
Pu2 Pu 0.750 0.250 0.500 1
Sb1 Sb 0.250 0.250 0.942 1
Sb2 Sb 0.750 0.750 0.058 1
Rh1 Rh 0.250 0.250 0.700 1
Rh2 Rh 0.750 0.750 0.300 1
```



Entry 2:
The following is a theoretical powder diffractogram of Na3TlCd3Hg2. It was derived from DFT lattice parameters and positions (GGA-PBE), using Cu Kα (weighted mean of Kα1 and Kα2).
Peak positions follow from Bragg's law for the DFT cell and can differ from measured ones.

The 10 most intense peaks (2θ from 15° to 90°), in order of falling intensity:
2.553 Å, 35.2°, I = 100; 4.422 Å, 20.1°, I = 84; 2.194 Å, 41.1°, I = 47; 3.079 Å, 29.0°, I = 44; 2.527 Å, 35.5°, I = 43; 1.404 Å, 66.6°, I = 31; 2.677 Å, 33.5°, I = 30; 1.557 Å, 59.3°, I = 24; 2.033 Å, 44.6°, I = 23; 1.474 Å, 63.1°, I = 16

Atomic structure:
```
data_Na3TlCd3Hg2
_space_group_name_H-M_alt 'P 1'
_space_group_IT_number 1
_cell_length_a 8.843
_cell_length_b 8.843
_cell_length_c 3.363
_cell_angle_alpha 90.00
_cell_angle_beta 90.00
_cell_angle_gamma 120.00
loop_
_space_group_symop_operation_xyz
'x,y,z'
loop_
_atom_site_label
_atom_site_type_symbol
_atom_site_fract_x
_atom_site_fract_y
_atom_site_fract_z
_atom_site_occupancy
Na1 Na 0.000 0.367 0.000 1
Na2 Na 0.367 0.000 0.000 1
Na3 Na 0.633 0.633 0.000 1
Tl1 Tl 0.000 0.000 0.000 1
Cd1 Cd 0.000 0.687 0.500 1
Cd2 Cd 0.313 0.313 0.500 1
Cd3 Cd 0.687 0.000 0.500 1
Hg1 Hg 0.333 0.667 0.500 1
Hg2 Hg 0.667 0.333 0.500 1
```



Entry 3:
The following is a theoretical powder diffractogram of Cd2BiAsO6. It was derived from DFT lattice parameters and positions (GGA-PBE), using Cu Kα (weighted mean of Kα1 and Kα2).
Peak positions follow from Bragg's law for the DFT cell and can differ from measured ones.

The 10 most intense peaks (2θ from 15° to 90°), in order of falling intensity:
3.007 Å, 29.7°, I = 100; 3.078 Å, 29.0°, I = 54; 1.557 Å, 59.4°, I = 29; 1.988 Å, 45.6°, I = 21; 2.759 Å, 32.5°, I = 20; 1.885 Å, 48.3°, I = 18; 1.637 Å, 56.2°, I = 14; 2.050 Å, 44.2°, I = 14; 2.868 Å, 31.2°, I = 14; 1.640 Å, 56.1°, I = 14

Atomic structure:
```
data_Cd2BiAsO6
_space_group_name_H-M_alt 'P 1'
_space_group_IT_number 1
_cell_length_a 7.557
_cell_length_b 7.557
_cell_length_c 5.518
_cell_angle_alpha 90.00
_cell_angle_beta 90.00
_cell_angle_gamma 108.32
loop_
_space_group_symop_operation_xyz
'x,y,z'
loop_
_atom_site_label
_atom_site_type_symbol
_atom_site_fract_x
_atom_site_fract_y
_atom_site_fract_z
_atom_site_occupancy
Cd1 Cd 0.093 0.302 0.000 1
Cd2 Cd 0.302 0.093 0.500 1
Cd3 Cd 0.698 0.907 0.000 1
Cd4 Cd 0.907 0.698 0.500 1
Bi1 Bi 0.407 0.593 0.511 1
Bi2 Bi 0.593 0.407 0.011 1
As1 As 0.186 0.814 0.955 1
As2 As 0.814 0.186 0.455 1
O1 O 0.061 0.939 0.803 1
O2 O 0.090 0.590 0.846 1
O3 O 0.179 0.821 0.270 1
O4 O 0.342 0.349 0.249 1
O5 O 0.349 0.342 0.749 1
O6 O 0.410 0.910 0.846 1
O7 O 0.590 0.090 0.346 1
O8 O 0.651 0.658 0.249 1
O9 O 0.658 0.651 0.749 1
O10 O 0.821 0.179 0.770 1
O11 O 0.910 0.410 0.346 1
O12 O 0.939 0.061 0.303 1
```



Entry 4:
The following is a theoretical powder diffractogram of KRbAgCl3. It was derived from DFT lattice parameters and positions (GGA-PBE), using Cu Kα (weighted mean of Kα1 and Kα2).
Peak positions follow from Bragg's law for the DFT cell and can differ from measured ones.

The 10 most intense peaks (2θ from 15° to 90°), in order of falling intensity:
3.196 Å, 27.9°, I = 100; 3.289 Å, 27.1°, I = 35; 3.274 Å, 27.2°, I = 34; 3.231 Å, 27.6°, I = 33; 2.210 Å, 40.8°, I = 32; 2.087 Å, 43.4°, I = 29; 2.457 Å, 36.6°, I = 27; 2.359 Å, 38.1°, I = 26; 2.631 Å, 34.1°, I = 26; 3.167 Å, 28.2°, I = 24

Atomic structure:
```
data_KRbAgCl3
_space_group_name_H-M_alt 'P 1'
_space_group_IT_number 1
_cell_length_a 9.433
_cell_length_b 4.421
_cell_length_c 10.012
_cell_angle_alpha 90.00
_cell_angle_beta 101.17
_cell_angle_gamma 90.00
loop_
_space_group_symop_operation_xyz
'x,y,z'
loop_
_atom_site_label
_atom_site_type_symbol
_atom_site_fract_x
_atom_site_fract_y
_atom_site_fract_z
_atom_site_occupancy
K1 K 0.149 0.250 0.158 1
K2 K 0.851 0.750 0.842 1
Rb1 Rb 0.319 0.750 0.798 1
Rb2 Rb 0.681 0.250 0.202 1
Ag1 Ag 0.406 0.750 0.410 1
Ag2 Ag 0.594 0.250 0.590 1
Cl1 Cl 0.082 0.250 0.842 1
Cl2 Cl 0.300 0.250 0.493 1
Cl3 Cl 0.400 0.750 0.153 1
Cl4 Cl 0.600 0.250 0.847 1
Cl5 Cl 0.700 0.750 0.507 1
Cl6 Cl 0.918 0.750 0.158 1
```



Entry 5:
The following is a theoretical powder diffractogram of TlCd2In4Hg. It was derived from DFT lattice parameters and positions (GGA-PBE), using Cu Kα (weighted mean of Kα1 and Kα2).
Peak positions follow from Bragg's law for the DFT cell and can differ from measured ones.

The 10 most intense peaks (2θ from 15° to 90°), in order of falling intensity:
2.566 Å, 35.0°, I = 100; 2.828 Å, 31.6°, I = 65; 1.577 Å, 58.5°, I = 44; 2.000 Å, 45.3°, I = 24; 1.439 Å, 64.8°, I = 16; 1.283 Å, 73.9°, I = 11; 1.265 Å, 75.1°, I = 11; 1.239 Å, 77.0°, I = 10; 5.657 Å, 15.7°, I = 8; 1.414 Å, 66.1°, I = 8

Atomic structure:
```
data_TlCd2In4Hg
_space_group_name_H-M_alt 'P 1'
_space_group_IT_number 1
_cell_length_a 8.000
_cell_length_b 8.000
_cell_length_c 6.689
_cell_angle_alpha 90.00
_cell_angle_beta 90.00
_cell_angle_gamma 90.00
loop_
_space_group_symop_operation_xyz
'x,y,z'
loop_
_atom_site_label
_atom_site_type_symbol
_atom_site_fract_x
_atom_site_fract_y
_atom_site_fract_z
_atom_site_occupancy
Tl1 Tl 0.000 0.000 0.000 1
Tl2 Tl 0.500 0.500 0.500 1
Cd1 Cd 0.000 0.500 0.000 1
Cd2 Cd 0.000 0.500 0.500 1
Cd3 Cd 0.500 0.000 0.000 1
Cd4 Cd 0.500 0.000 0.500 1
In1 In 0.250 0.250 0.252 1
In2 In 0.250 0.250 0.752 1
In3 In 0.250 0.750 0.248 1
In4 In 0.250 0.750 0.748 1
In5 In 0.750 0.250 0.248 1
In6 In 0.750 0.250 0.748 1
In7 In 0.750 0.750 0.252 1
In8 In 0.750 0.750 0.752 1
Hg1 Hg 0.000 0.000 0.500 1
Hg2 Hg 0.500 0.500 0.000 1
```



Entry 6:
The following is a theoretical powder diffractogram of NaSb2Se3. It was derived from DFT lattice parameters and positions (GGA-PBE), using Cu Kα (weighted mean of Kα1 and Kα2).
Peak positions follow from Bragg's law for the DFT cell and can differ from measured ones.

The 10 most intense peaks (2θ from 15° to 90°), in order of falling intensity:
2.968 Å, 30.1°, I = 100; 2.121 Å, 42.6°, I = 76; 3.031 Å, 29.5°, I = 59; 1.333 Å, 70.7°, I = 25; 1.732 Å, 52.9°, I = 22; 5.468 Å, 16.2°, I = 21; 1.720 Å, 53.3°, I = 20; 2.088 Å, 43.3°, I = 18; 2.110 Å, 42.9°, I = 18; 1.350 Å, 69.7°, I = 17

Atomic structure:
```
data_NaSb2Se3
_space_group_name_H-M_alt 'P 1'
_space_group_IT_number 1
_cell_length_a 4.176
_cell_length_b 6.063
_cell_length_c 12.660
_cell_angle_alpha 90.00
_cell_angle_beta 90.00
_cell_angle_gamma 90.00
loop_
_space_group_symop_operation_xyz
'x,y,z'
loop_
_atom_site_label
_atom_site_type_symbol
_atom_site_fract_x
_atom_site_fract_y
_atom_site_fract_z
_atom_site_occupancy
Na1 Na 0.000 0.000 0.000 1
Na2 Na 0.500 0.500 0.500 1
Sb1 Sb 0.000 0.000 0.334 1
Sb2 Sb 0.000 0.000 0.666 1
Sb3 Sb 0.500 0.500 0.166 1
Sb4 Sb 0.500 0.500 0.834 1
Se1 Se 0.000 0.500 0.000 1
Se2 Se 0.000 0.500 0.320 1
Se3 Se 0.000 0.500 0.680 1
Se4 Se 0.500 0.000 0.180 1
Se5 Se 0.500 0.000 0.500 1
Se6 Se 0.500 0.000 0.820 1
```



Entry 7:
The following is a theoretical powder diffractogram of Pm3Hg2Rh3. It was derived from DFT lattice parameters and positions (GGA-PBE), using Cu Kα (weighted mean of Kα1 and Kα2).
Peak positions follow from Bragg's law for the DFT cell and can differ from measured ones.

The 10 most intense peaks (2θ from 15° to 90°), in order of falling intensity:
2.426 Å, 37.1°, I = 100; 2.496 Å, 36.0°, I = 24; 2.751 Å, 32.5°, I = 20; 1.716 Å, 53.4°, I = 15; 1.401 Å, 66.8°, I = 14; 1.268 Å, 74.9°, I = 12; 1.608 Å, 57.3°, I = 11; 1.276 Å, 74.3°, I = 8; 1.307 Å, 72.3°, I = 7; 1.911 Å, 47.6°, I = 6

Atomic structure:
```
data_Pm3Hg2Rh3
_space_group_name_H-M_alt 'P 1'
_space_group_IT_number 1
_cell_length_a 8.401
_cell_length_b 8.401
_cell_length_c 5.948
_cell_angle_alpha 90.00
_cell_angle_beta 90.00
_cell_angle_gamma 120.00
loop_
_space_group_symop_operation_xyz
'x,y,z'
loop_
_atom_site_label
_atom_site_type_symbol
_atom_site_fract_x
_atom_site_fract_y
_atom_site_fract_z
_atom_site_occupancy
Pm1 Pm 0.000 0.280 0.250 1
Pm2 Pm 0.000 0.720 0.750 1
Pm3 Pm 0.280 0.000 0.250 1
Pm4 Pm 0.280 0.280 0.750 1
Pm5 Pm 0.720 0.000 0.750 1
Pm6 Pm 0.720 0.720 0.250 1
Hg1 Hg 0.333 0.667 0.000 1
Hg2 Hg 0.333 0.667 0.500 1
Hg3 Hg 0.667 0.333 0.000 1
Hg4 Hg 0.667 0.333 0.500 1
Rh1 Rh 0.000 0.383 0.750 1
Rh2 Rh 0.000 0.617 0.250 1
Rh3 Rh 0.383 0.000 0.750 1
Rh4 Rh 0.383 0.383 0.250 1
Rh5 Rh 0.617 0.000 0.250 1
Rh6 Rh 0.617 0.617 0.750 1
```



Entry 8:
The following is a theoretical powder diffractogram of AlIn2. It was derived from DFT lattice parameters and positions (GGA-PBE), using Cu Kα (weighted mean of Kα1 and Kα2).
Peak positions follow from Bragg's law for the DFT cell and can differ from measured ones.

The 10 most intense peaks (2θ from 15° to 90°), in order of falling intensity:
2.876 Å, 31.1°, I = 100; 2.476 Å, 36.3°, I = 78; 2.977 Å, 30.0°, I = 61; 2.538 Å, 35.4°, I = 45; 2.461 Å, 36.5°, I = 43; 2.823 Å, 31.7°, I = 42; 2.918 Å, 30.6°, I = 39; 2.271 Å, 39.7°, I = 37; 2.587 Å, 34.7°, I = 29; 3.088 Å, 28.9°, I = 22

Atomic structure:
```
data_AlIn2
_space_group_name_H-M_alt 'P 1'
_space_group_IT_number 1
_cell_length_a 11.710
_cell_length_b 3.206
_cell_length_c 7.891
_cell_angle_alpha 90.00
_cell_angle_beta 100.44
_cell_angle_gamma 90.00
loop_
_space_group_symop_operation_xyz
'x,y,z'
loop_
_atom_site_label
_atom_site_type_symbol
_atom_site_fract_x
_atom_site_fract_y
_atom_site_fract_z
_atom_site_occupancy
Al1 Al 0.000 0.000 0.000 1
Al2 Al 0.147 0.500 0.226 1
Al3 Al 0.500 0.500 0.000 1
Al4 Al 0.647 0.000 0.226 1
In1 In 0.167 0.000 0.544 1
In2 In 0.238 0.500 0.905 1
In3 In 0.385 0.000 0.273 1
In4 In 0.443 0.000 0.674 1
In5 In 0.667 0.500 0.544 1
In6 In 0.738 0.000 0.905 1
In7 In 0.885 0.500 0.273 1
In8 In 0.943 0.500 0.674 1
```



Entry 9:
The following is a theoretical powder diffractogram of Sm2Ge7Rh12. It was derived from DFT lattice parameters and positions (GGA-PBE), using Cu Kα (weighted mean of Kα1 and Kα2).
Peak positions follow from Bragg's law for the DFT cell and can differ from measured ones.

The 10 most intense peaks (2θ from 15° to 90°), in order of falling intensity:
2.515 Å, 35.7°, I = 100; 1.888 Å, 48.2°, I = 22; 1.969 Å, 46.1°, I = 19; 2.049 Å, 44.2°, I = 17; 1.362 Å, 68.9°, I = 12; 1.985 Å, 45.7°, I = 10; 2.497 Å, 36.0°, I = 10; 1.218 Å, 78.5°, I = 10; 1.179 Å, 81.7°, I = 9; 2.326 Å, 38.7°, I = 9

Atomic structure:
```
data_Sm2Ge7Rh12
_space_group_name_H-M_alt 'P 1'
_space_group_IT_number 1
_cell_length_a 9.989
_cell_length_b 9.989
_cell_length_c 3.937
_cell_angle_alpha 90.00
_cell_angle_beta 90.00
_cell_angle_gamma 120.00
loop_
_space_group_symop_operation_xyz
'x,y,z'
loop_
_atom_site_label
_atom_site_type_symbol
_atom_site_fract_x
_atom_site_fract_y
_atom_site_fract_z
_atom_site_occupancy
Sm1 Sm 0.333 0.667 0.250 1
Sm2 Sm 0.667 0.333 0.750 1
Ge1 Ge 0.000 0.000 0.000 1
Ge2 Ge 0.113 0.402 0.750 1
Ge3 Ge 0.289 0.887 0.750 1
Ge4 Ge 0.402 0.289 0.250 1
Ge5 Ge 0.598 0.711 0.750 1
Ge6 Ge 0.711 0.113 0.250 1
Ge7 Ge 0.887 0.598 0.250 1
Rh1 Rh 0.061 0.619 0.749 1
Rh2 Rh 0.119 0.857 0.248 1
Rh3 Rh 0.143 0.262 0.248 1
Rh4 Rh 0.262 0.119 0.752 1
Rh5 Rh 0.381 0.442 0.749 1
Rh6 Rh 0.442 0.061 0.251 1
Rh7 Rh 0.558 0.939 0.749 1
Rh8 Rh 0.619 0.558 0.251 1
Rh9 Rh 0.738 0.881 0.248 1
Rh10 Rh 0.857 0.738 0.752 1
Rh11 Rh 0.881 0.143 0.752 1
Rh12 Rh 0.939 0.381 0.251 1
```



Entry 10:
The following is a theoretical powder diffractogram of SrTlSn2. It was derived from DFT lattice parameters and positions (GGA-PBE), using Cu Kα (weighted mean of Kα1 and Kα2).
Peak positions follow from Bragg's law for the DFT cell and can differ from measured ones.

The 10 most intense peaks (2θ from 15° to 90°), in order of falling intensity:
2.715 Å, 33.0°, I = 100; 2.938 Å, 30.4°, I = 62; 1.650 Å, 55.7°, I = 41; 2.077 Å, 43.6°, I = 23; 1.468 Å, 63.4°, I = 16; 2.072 Å, 43.7°, I = 12; 1.097 Å, 89.3°, I = 12; 1.530 Å, 60.5°, I = 12; 1.292 Å, 73.3°, I = 12; 1.314 Å, 71.9°, I = 11

Atomic structure:
```
data_SrTlSn2
_space_group_name_H-M_alt 'P 1'
_space_group_IT_number 1
_cell_length_a 4.154
_cell_length_b 4.154
_cell_length_c 7.170
_cell_angle_alpha 90.00
_cell_angle_beta 90.00
_cell_angle_gamma 90.00
loop_
_space_group_symop_operation_xyz
'x,y,z'
loop_
_atom_site_label
_atom_site_type_symbol
_atom_site_fract_x
_atom_site_fract_y
_atom_site_fract_z
_atom_site_occupancy
Sr1 Sr 0.000 0.000 0.000 1
Tl1 Tl 0.000 0.000 0.500 1
Sn1 Sn 0.500 0.500 0.288 1
Sn2 Sn 0.500 0.500 0.712 1
```



Entry 11:
The following is a theoretical powder diffractogram of MgCdS. It was derived from DFT lattice parameters and positions (GGA-PBE), using Cu Kα (weighted mean of Kα1 and Kα2).
Peak positions follow from Bragg's law for the DFT cell and can differ from measured ones.

The 10 most intense peaks (2θ from 15° to 90°), in order of falling intensity:
3.327 Å, 26.8°, I = 100; 2.916 Å, 30.7°, I = 100; 2.077 Å, 43.6°, I = 58; 2.777 Å, 32.2°, I = 46; 2.050 Å, 44.2°, I = 42; 1.691 Å, 54.2°, I = 41; 5.821 Å, 15.2°, I = 34; 3.199 Å, 27.9°, I = 28; 3.524 Å, 25.3°, I = 23; 3.579 Å, 24.9°, I = 21

Atomic structure:
```
data_MgCdS
_space_group_name_H-M_alt 'P 1'
_space_group_IT_number 1
_cell_length_a 11.886
_cell_length_b 11.886
_cell_length_c 11.886
_cell_angle_alpha 20.13
_cell_angle_beta 20.13
_cell_angle_gamma 20.13
loop_
_space_group_symop_operation_xyz
'x,y,z'
loop_
_atom_site_label
_atom_site_type_symbol
_atom_site_fract_x
_atom_site_fract_y
_atom_site_fract_z
_atom_site_occupancy
Mg1 Mg 0.135 0.135 0.135 1
Mg2 Mg 0.865 0.865 0.865 1
Cd1 Cd 0.363 0.363 0.363 1
Cd2 Cd 0.637 0.637 0.637 1
S1 S 0.209 0.209 0.209 1
S2 S 0.791 0.791 0.791 1
```



Entry 12:
The following is a theoretical powder diffractogram of ScRu4Cl. It was derived from DFT lattice parameters and positions (GGA-PBE), using Cu Kα (weighted mean of Kα1 and Kα2).
Peak positions follow from Bragg's law for the DFT cell and can differ from measured ones.

The 10 most intense peaks (2θ from 15° to 90°), in order of falling intensity:
2.233 Å, 40.4°, I = 100; 2.138 Å, 42.3°, I = 73; 4.276 Å, 20.8°, I = 61; 1.425 Å, 65.5°, I = 30; 1.309 Å, 72.2°, I = 30; 1.116 Å, 87.3°, I = 26; 1.851 Å, 49.2°, I = 23; 1.699 Å, 54.0°, I = 14; 1.129 Å, 86.1°, I = 11; 1.252 Å, 76.0°, I = 10

Atomic structure:
```
data_ScRu4Cl
_space_group_name_H-M_alt 'P 1'
_space_group_IT_number 1
_cell_length_a 5.237
_cell_length_b 5.237
_cell_length_c 5.237
_cell_angle_alpha 60.00
_cell_angle_beta 60.00
_cell_angle_gamma 60.00
loop_
_space_group_symop_operation_xyz
'x,y,z'
loop_
_atom_site_label
_atom_site_type_symbol
_atom_site_fract_x
_atom_site_fract_y
_atom_site_fract_z
_atom_site_occupancy
Sc1 Sc 0.000 0.000 0.000 1
Ru1 Ru 0.375 0.375 0.375 1
Ru2 Ru 0.375 0.375 0.875 1
Ru3 Ru 0.375 0.875 0.375 1
Ru4 Ru 0.875 0.375 0.375 1
Cl1 Cl 0.750 0.750 0.750 1
```



Entry 13:
The following is a theoretical powder diffractogram of MnAuI4. It was derived from DFT lattice parameters and positions (GGA-PBE), using Cu Kα (weighted mean of Kα1 and Kα2).
Peak positions follow from Bragg's law for the DFT cell and can differ from measured ones.

The 10 most intense peaks (2θ from 15° to 90°), in order of falling intensity:
3.168 Å, 28.2°, I = 100; 3.658 Å, 24.3°, I = 85; 2.487 Å, 36.1°, I = 63; 2.245 Å, 40.2°, I = 45; 2.015 Å, 45.0°, I = 33; 4.252 Å, 20.9°, I = 30; 2.578 Å, 34.8°, I = 30; 2.832 Å, 31.6°, I = 23; 2.792 Å, 32.1°, I = 22; 2.010 Å, 45.1°, I = 22

Atomic structure:
```
data_MnAuI4
_space_group_name_H-M_alt 'P 1'
_space_group_IT_number 1
_cell_length_a 15.858
_cell_length_b 4.019
_cell_length_c 8.147
_cell_angle_alpha 90.00
_cell_angle_beta 116.12
_cell_angle_gamma 90.00
loop_
_space_group_symop_operation_xyz
'x,y,z'
loop_
_atom_site_label
_atom_site_type_symbol
_atom_site_fract_x
_atom_site_fract_y
_atom_site_fract_z
_atom_site_occupancy
Mn1 Mn 0.000 0.000 0.000 1
Mn2 Mn 0.500 0.500 0.000 1
Au1 Au 0.000 0.500 0.500 1
Au2 Au 0.500 0.000 0.500 1
I1 I 0.101 0.000 0.426 1
I2 I 0.125 0.500 0.007 1
I3 I 0.375 0.000 0.993 1
I4 I 0.399 0.500 0.574 1
I5 I 0.601 0.500 0.426 1
I6 I 0.625 0.000 0.007 1
I7 I 0.875 0.500 0.993 1
I8 I 0.899 0.000 0.574 1
```



Entry 14:
The following is a theoretical powder diffractogram of TcWN. It was derived from DFT lattice parameters and positions (GGA-PBE), using Cu Kα (weighted mean of Kα1 and Kα2).
Peak positions follow from Bragg's law for the DFT cell and can differ from measured ones.

The 10 most intense peaks (2θ from 15° to 90°), in order of falling intensity:
2.013 Å, 45.0°, I = 100; 2.328 Å, 38.7°, I = 76; 2.741 Å, 32.7°, I = 57; 2.418 Å, 37.2°, I = 48; 1.813 Å, 50.3°, I = 42; 3.576 Å, 24.9°, I = 31; 1.171 Å, 82.4°, I = 24; 1.303 Å, 72.5°, I = 20; 1.211 Å, 79.0°, I = 19; 1.338 Å, 70.4°, I = 15

Atomic structure:
```
data_TcWN
_space_group_name_H-M_alt 'P 1'
_space_group_IT_number 1
_cell_length_a 2.837
_cell_length_b 10.623
_cell_length_c 4.837
_cell_angle_alpha 90.00
_cell_angle_beta 90.00
_cell_angle_gamma 90.00
loop_
_space_group_symop_operation_xyz
'x,y,z'
loop_
_atom_site_label
_atom_site_type_symbol
_atom_site_fract_x
_atom_site_fract_y
_atom_site_fract_z
_atom_site_occupancy
Tc1 Tc 0.000 0.211 0.000 1
Tc2 Tc 0.000 0.789 0.500 1
Tc3 Tc 0.500 0.289 0.500 1
Tc4 Tc 0.500 0.711 0.000 1
W1 W 0.000 0.071 0.463 1
W2 W 0.000 0.929 0.963 1
W3 W 0.500 0.429 0.963 1
W4 W 0.500 0.571 0.463 1
N1 N 0.000 0.444 0.642 1
N2 N 0.000 0.556 0.142 1
N3 N 0.500 0.056 0.142 1
N4 N 0.500 0.944 0.642 1
```